Record 1
The following is a simulated PXRD pattern of Na5B7C3. It was derived from DFT lattice parameters and positions (GGA-PBE), using Cu Kα.
Neutral-atom scattering factors, no anomalous dispersion.

Atomic structure:
```
Na5B7C3
1.0
5.153 0.000 0.000
-2.575 7.024 0.000
-0.001 -2.816 8.608
Na B C
10 14 6
Direct
0.000 0.000 0.000
0.098 0.201 0.500
0.201 0.401 0.000
0.300 0.600 0.499
0.400 0.800 0.000
0.500 0.000 0.500
0.600 0.200 0.000
0.700 0.400 0.501
0.799 0.599 0.000
0.902 0.799 0.500
0.029 0.699 0.750
0.103 0.904 0.250
0.195 0.694 0.250
0.231 0.101 0.750
0.299 0.296 0.250
0.399 0.494 0.750
0.415 0.101 0.251
0.585 0.899 0.749
0.601 0.506 0.250
0.701 0.704 0.750
0.769 0.899 0.250
0.805 0.306 0.750
0.897 0.096 0.750
0.971 0.301 0.250
0.088 0.498 0.750
0.290 0.900 0.749
0.491 0.303 0.750
0.509 0.697 0.250
0.710 0.100 0.251
0.912 0.502 0.250
```

Most intense lines, 2θ from 10° to 90°, in order of falling intensity:
2theta, Rel. int.
42.23, 1000
40.82, 486
41.98, 383
63.47, 177
79.05, 172
36.42, 162



Record 2
The following is a simulated PXRD pattern of Sr2Be. It was derived from DFT lattice parameters and positions (GGA-PBE), using Cu Kα.
Neutral-atom scattering factors, no anomalous dispersion.

Atomic structure:
```
Sr2Be
1.0
7.297 0.000 0.000
0.000 7.604 0.000
0.000 0.000 4.455
Sr Be
4 2
Direct
0.243 0.171 0.000
0.257 0.671 0.500
0.743 0.329 0.500
0.757 0.829 0.000
0.000 0.000 0.500
0.500 0.500 0.000
```

Most intense lines, 2θ from 10° to 90°, in order of falling intensity:
2theta, Rel. int.
26.20, 1000
26.43, 446
24.40, 354
44.06, 239
48.26, 222
40.97, 207



Record 3
The following is a simulated PXRD pattern of TbPr12Tm2. It was derived from DFT lattice parameters and positions (GGA-PBE), using Cu Kα.
Neutral-atom scattering factors, no anomalous dispersion.

Atomic structure:
```
TbPr12Tm2
1.0
3.620 -5.858 0.000
3.620 5.858 0.000
0.000 0.000 25.185
Tb Pr Tm
2 24 4
Direct
0.250 0.750 0.999
0.750 0.250 0.001
0.001 0.501 0.869
0.002 0.998 0.073
0.019 0.519 0.413
0.024 0.976 0.560
0.250 0.250 0.198
0.250 0.250 0.323
0.250 0.250 0.677
0.250 0.250 0.802
0.476 0.524 0.560
0.481 0.981 0.413
0.498 0.502 0.073
0.499 0.999 0.869
0.501 0.001 0.131
0.502 0.498 0.927
0.519 0.019 0.587
0.524 0.476 0.440
0.750 0.750 0.198
0.750 0.750 0.323
0.750 0.750 0.677
0.750 0.750 0.802
0.976 0.024 0.440
0.981 0.481 0.587
0.998 0.002 0.927
0.999 0.499 0.131
0.250 0.750 0.267
0.250 0.750 0.730
0.750 0.250 0.270
0.750 0.250 0.733
```

Most intense lines, 2θ from 10° to 90°, in order of falling intensity:
2theta, Rel. int.
32.32, 1000
30.52, 643
29.87, 642
29.13, 428
36.18, 298
28.43, 274



Record 4
The following is a simulated PXRD pattern of Tb3Au5. It was derived from DFT lattice parameters and positions (GGA-PBE), using Cu Kα.
Neutral-atom scattering factors, no anomalous dispersion.

Atomic structure:
```
Tb3Au5
1.0
7.470 0.000 0.000
-3.735 6.469 0.000
0.000 0.000 3.766
Tb Au
3 5
Direct
0.000 0.379 0.000
0.379 0.000 0.000
0.621 0.621 0.000
0.000 0.767 0.500
0.233 0.233 0.500
0.333 0.667 0.500
0.667 0.333 0.500
0.767 0.000 0.500
```

Most intense lines, 2θ from 10° to 90°, in order of falling intensity:
2theta, Rel. int.
33.80, 1000
36.76, 590
36.62, 343
44.16, 328
62.23, 259
41.90, 258



Record 5
The following is a simulated PXRD pattern of PrBN2. It was derived from DFT lattice parameters and positions (GGA-PBE), using Cu Kα.
Neutral-atom scattering factors, no anomalous dispersion.

Atomic structure:
```
PrBN2
1.0
6.117 3.532 2.356
-6.117 3.532 2.356
0.000 -7.063 2.356
Pr B N
6 6 12
Direct
0.204 0.750 0.296
0.250 0.704 0.796
0.296 0.204 0.750
0.704 0.796 0.250
0.750 0.296 0.204
0.796 0.250 0.704
0.131 0.250 0.369
0.250 0.369 0.131
0.369 0.131 0.250
0.631 0.869 0.750
0.750 0.631 0.869
0.869 0.750 0.631
0.010 0.250 0.490
0.128 0.372 0.250
0.250 0.128 0.372
0.250 0.490 0.010
0.372 0.250 0.128
0.490 0.010 0.250
0.510 0.990 0.750
0.628 0.750 0.872
0.750 0.510 0.990
0.750 0.872 0.628
0.872 0.628 0.750
0.990 0.750 0.510
```

Most intense lines, 2θ from 10° to 90°, in order of falling intensity:
2theta, Rel. int.
30.40, 1000
33.01, 778
14.48, 613
29.20, 496
49.61, 374
25.57, 286



Record 6
The following is a simulated PXRD pattern of KSc2CrCd. It was derived from DFT lattice parameters and positions (GGA-PBE), using Cu Kα.
Neutral-atom scattering factors, no anomalous dispersion.

Atomic structure:
```
KSc2CrCd
1.0
5.013 0.000 0.000
0.000 5.013 0.000
0.000 0.000 5.350
K Sc Cr Cd
1 2 1 1
Direct
0.000 0.000 0.000
0.000 0.500 0.000
0.500 0.000 0.000
0.500 0.500 0.500
0.000 0.000 0.500
```

Most intense lines, 2θ from 10° to 90°, in order of falling intensity:
2theta, Rel. int.
30.25, 1000
35.83, 589
49.86, 427
17.69, 403
33.50, 357
25.12, 243



Record 7
The following is a simulated PXRD pattern of NdPaIn. It was derived from DFT lattice parameters and positions (GGA-PBE), using Cu Kα.
Neutral-atom scattering factors, no anomalous dispersion.

Atomic structure:
```
NdPaIn
1.0
0.000 4.674 6.328
2.993 0.000 6.328
2.993 4.674 0.000
Nd Pa In
2 2 2
Direct
0.179 0.821 0.179
0.821 0.179 0.821
0.250 0.250 0.250
0.750 0.750 0.750
0.384 0.384 0.616
0.616 0.616 0.384
```

Most intense lines, 2θ from 10° to 90°, in order of falling intensity:
2theta, Rel. int.
33.14, 1000
34.23, 675
38.46, 617
18.99, 323
57.93, 224
56.92, 219